This entry pairs a crystal structure of CoH2C2N4 with its theoretical X-ray diffraction stick pattern. Radiation: copper Kα. Structure: a structure optimized by DFT (PBE).
No peak broadening, texture or thermal motion is included.

abc: 6.4916 8.6182 3.1083
angles: 90.00 90.00 90.00
Fractional positions:
Co: 0.0000 0.0000 0.0000
Co: 0.5000 0.5000 0.5000
H: 0.1879 0.4293 0.0000
H: 0.3121 0.9293 0.5000
H: 0.6879 0.0707 0.5000
H: 0.8121 0.5707 0.0000
C: 0.1647 0.6563 0.0000
C: 0.3353 0.1563 0.5000
C: 0.6647 0.8437 0.5000
C: 0.8353 0.3437 0.0000
N: 0.0782 0.7770 0.0000
N: 0.2270 0.0296 0.5000
N: 0.2730 0.5296 0.0000
N: 0.4218 0.2770 0.5000
N: 0.5782 0.7230 0.5000
N: 0.7270 0.4704 0.0000
N: 0.7730 0.9704 0.5000
N: 0.9218 0.2230 0.0000

Principal peaks in the range 2θ from 10° to 90°, sorted by position:
h k l  2theta  I/Imax
1 1 0  17.10  100.0
0 2 0  20.61  24.6
2 1 0  29.40  9.4
1 0 1  31.92  48.6
1 1 1  33.62  9.5
1 3 0  34.13  18.4
2 1 1  41.57  45.8
0 4 0  41.94  10.2
3 1 0  43.10  9.5
2 3 1  51.68  11.3
1 4 1  53.65  10.7
3 2 1  56.01  10.9